Calculated XRD peak list
Compound: ZrIn2SbPb
Radiation: CuKα
Structure: a structure optimized by DFT (GGA-PBE)
Neutral-atom scattering factors, no anomalous dispersion.

Principal peaks in the range 2θ from 15° to 90°, most intense first:
hkl 1 1 1, 27.80°, I = 100
hkl 2 0 0, 31.91°, I = 89
hkl 2 0 2, 46.42°, I = 62
hkl 1 0 1, 22.73°, I = 51
hkl 0 0 2, 32.82°, I = 41
hkl 2 2 2, 57.44°, I = 33
hkl 2 2 0, 45.75°, I = 32
hkl 3 1 1, 54.39°, I = 31

Atomic structure:
Lattice parameters (Å, degrees): 5.6092 5.6092 5.4584 90.00 90.00 90.00
Space group P4/mmm (No. 123)
One atom of each set of equivalent atoms:
Zr: 0.0000 0.0000 0.0000 x1
In: 0.0000 0.5000 0.5000 x2
Sb: 0.0000 0.0000 0.5000 x1
Pb: 0.5000 0.5000 0.0000 x1